Computed powder diffractogram
Compound: Li2CrN2
Radiation: Cu Kα
Structure: a crystal structure in the Materials Project, relaxed with PBE
Peak positions follow from Bragg's law for the DFT cell and can differ from measured ones.

Crystal structure
Cell lengths 2.9289, 2.9289, 5.6151 Å; angles 90.00, 90.00, 120.00 degrees
Space group P-3m1 (No. 164)
Symmetry-distinct sites (fractional):
1 Li 0.3333 0.6667 0.1453 (multiplicity 2)
2 Cr 0.0000 0.0000 0.5000 (multiplicity 1)
3 N 0.3333 0.6667 0.7038 (multiplicity 2)

Main lines, by angle (2θ = 5–70°):
2θ = 15.78°, intensity 100; 2θ = 35.39°, intensity 15; 2θ = 38.96°, intensity 56; 2θ = 48.36°, intensity 43; 2θ = 61.58°, intensity 14; 2θ = 63.53°, intensity 14

---

Computed powder diffractogram
Compound: ZrMoN3
Radiation: Cu Kα
Structure: a crystal structure in the Materials Project, relaxed with PBE
Peak positions follow from Bragg's law for the DFT cell and can differ from measured ones.

Crystal structure
Cell lengths 5.8693, 6.9144, 8.3780 Å; angles 67.37, 73.25, 76.43 degrees
Space group P-1 (No. 2)
Symmetry-distinct sites (fractional):
1 Zr 0.0913 0.3156 0.2114 (multiplicity 2)
2 Zr 0.3520 0.8190 0.3090 (multiplicity 2)
3 Mo 0.0125 0.7872 0.1006 (multiplicity 2)
4 Mo 0.4394 0.6361 0.7450 (multiplicity 2)
5 N 0.1134 0.0244 0.1361 (multiplicity 2)
6 N 0.1905 0.5958 0.9527 (multiplicity 2)
7 N 0.2243 0.7372 0.5823 (multiplicity 2)
8 N 0.2566 0.5608 0.2576 (multiplicity 2)
9 N 0.2744 0.2826 0.7670 (multiplicity 2)
10 N 0.4321 0.1371 0.2746 (multiplicity 2)

Main lines, by angle (2θ = 5–70°):
2θ = 11.73°, intensity 42; 2θ = 21.84°, intensity 89; 2θ = 23.59°, intensity 100; 2θ = 28.24°, intensity 47; 2θ = 33.29°, intensity 74; 2θ = 34.30°, intensity 40

---

Computed powder diffractogram
Compound: Eu2SiO5
Radiation: Cu Kα
Structure: a crystal structure in the Materials Project, relaxed with PBE
Peak positions follow from Bragg's law for the DFT cell and can differ from measured ones.

Crystal structure
Cell lengths 14.7936, 6.9693, 10.7789 Å; angles 90.00, 122.13, 90.00 degrees
Space group C2/c (No. 15)
Symmetry-distinct sites (fractional):
1 Eu 0.0388 0.2474 0.4669 (multiplicity 8)
2 Eu 0.1447 0.1164 0.8362 (multiplicity 8)
3 Si 0.1805 0.4123 0.3060 (multiplicity 8)
4 O 0.0163 0.0924 0.8944 (multiplicity 8)
5 O 0.0921 0.4974 0.1431 (multiplicity 8)
6 O 0.1204 0.2197 0.3204 (multiplicity 8)
7 O 0.1995 0.4320 0.9327 (multiplicity 8)
8 O 0.2057 0.1427 0.6760 (multiplicity 8)

Main lines, by angle (2θ = 5–70°):
2θ = 22.14°, intensity 100; 2θ = 24.47°, intensity 58; 2θ = 27.40°, intensity 62; 2θ = 28.54°, intensity 85; 2θ = 29.72°, intensity 99; 2θ = 34.19°, intensity 44

---

Computed powder diffractogram
Compound: TiZnSnO4
Radiation: Cu Kα
Structure: a crystal structure in the Materials Project, relaxed with PBE
Peak positions follow from Bragg's law for the DFT cell and can differ from measured ones.

Crystal structure
Cell lengths 8.7581, 19.9892, 5.2866 Å; angles 90.00, 90.00, 90.00 degrees
Space group Pna2_1 (No. 33)
Symmetry-distinct sites (fractional):
1 Ti 0.1979 0.1759 0.0000 (multiplicity 4)
2 Ti 0.2318 0.4274 0.4776 (multiplicity 4)
3 Zn 0.0064 0.4448 0.9843 (multiplicity 4)
4 Zn 0.1843 0.8428 0.4770 (multiplicity 4)
5 Sn 0.0738 0.2719 0.5117 (multiplicity 4)
6 Sn 0.1255 0.0563 0.6004 (multiplicity 4)
7 O 0.0247 0.1362 0.8494 (multiplicity 4)
8 O 0.0693 0.4695 0.3343 (multiplicity 4)
9 O 0.0927 0.9756 0.9062 (multiplicity 4)
10 O 0.1484 0.6209 0.4307 (multiplicity 4)
11 O 0.1632 0.1864 0.3346 (multiplicity 4)
12 O 0.2030 0.4203 0.8196 (multiplicity 4)
13 O 0.2193 0.2601 0.8439 (multiplicity 4)
14 O 0.2476 0.3428 0.3384 (multiplicity 4)

Main lines, by angle (2θ = 5–70°):
2θ = 20.77°, intensity 36; 2θ = 26.43°, intensity 53; 2θ = 26.57°, intensity 100; 2θ = 27.98°, intensity 69; 2θ = 29.69°, intensity 41; 2θ = 30.27°, intensity 41

---

Computed powder diffractogram
Compound: SrAl9Ni2
Radiation: Cu Kα
Structure: a crystal structure in the Materials Project, relaxed with PBE
Peak positions follow from Bragg's law for the DFT cell and can differ from measured ones.

Crystal structure
Cell lengths 7.9641, 7.9641, 3.9551 Å; angles 90.00, 90.00, 120.00 degrees
Space group P6/mmm (No. 191)
Symmetry-distinct sites (fractional):
1 Sr 0.0000 0.0000 0.0000 (multiplicity 1)
2 Al 0.0000 0.5000 0.0000 (multiplicity 3)
3 Al 0.2128 0.4256 0.5000 (multiplicity 6)
4 Ni 0.3333 0.6667 0.0000 (multiplicity 2)

Main lines, by angle (2θ = 5–70°):
2θ = 22.33°, intensity 82; 2θ = 31.89°, intensity 93; 2θ = 34.51°, intensity 49; 2θ = 45.61°, intensity 100; 2θ = 45.89°, intensity 27; 2θ = 51.38°, intensity 37